# 1
Diffraction record for Sm3Sc4. The PXRD pattern is simulated, not measured: it uses a structure optimized by DFT (PBE) and Cu Kα (weighted mean of Kα1 and Kα2).

Largest 12 diffraction maxima, by angle, 10° ≤ 2θ ≤ 80°:
index  Position (°2θ)  d (Å)  I/Imax
0 1 1  19.4  4.581  23.7
0 0 6  21.9  4.051  11.3
1 0 1  25.9  3.437  11.9
1 1 0  32.1  2.786  100.0
1 0 7  36.6  2.456  34.9
0 2 0  38.6  2.332  15.1
1 1 6  39.3  2.295  8.4
2 0 0  52.7  1.736  13.7
1 2 7  54.2  1.691  21.8
2 1 7  63.1  1.474  27.1
1 3 0  65.8  1.419  12.0
2 2 0  67.2  1.393  11.2

Crystal structure
a b c (Å): 3.472 4.664 24.317
angles (deg): 90.00 90.00 90.00
Space group Immm (No. 71)
Unique sites:
Sm: 0.000 0.000 0.000 [2 per cell]
Sm: 0.000 0.000 0.144 [4 per cell]
Sc: 0.000 0.000 0.282 [4 per cell]
Sc: 0.000 0.000 0.427 [4 per cell]

=====

# 2
Diffraction record for TlSbPbO3. The PXRD pattern is simulated, not measured: it uses a structure optimized by DFT (PBE) and Cu Kα (weighted mean of Kα1 and Kα2).

Largest 12 diffraction maxima, by angle, 10° ≤ 2θ ≤ 80°:
index  Position (°2θ)  d (Å)  I/Imax
2 0 2  25.7  3.462  18.0
1 1 1  26.3  3.392  22.6
4 0 -2  29.4  3.034  33.9
0 0 3  29.6  3.015  20.8
4 0 1  29.8  3.000  23.7
1 1 -2  30.2  2.961  100.0
3 1 -3  39.8  2.264  14.4
3 1 3  45.7  1.985  25.0
0 2 0  46.7  1.945  13.0
7 1 -2  52.8  1.735  13.0
7 1 1  55.4  1.657  12.7
4 2 1  56.3  1.633  15.9

Crystal structure
a b c (Å): 13.936 3.890 9.234
angles (deg): 90.00 101.62 90.00
Space group C2/m (No. 12)
Unique sites:
Tl: 0.186 0.000 0.144 [4 per cell]
Sb: 0.029 0.500 0.779 [4 per cell]
Pb: 0.143 0.000 0.517 [4 per cell]
O: 0.014 0.000 0.670 [4 per cell]
O: 0.119 0.500 0.292 [4 per cell]
O: 0.145 0.500 0.673 [4 per cell]

=====

# 3
Diffraction record for NdHf2ReC4. The PXRD pattern is simulated, not measured: it uses a structure optimized by DFT (PBE) and Cu Kα (weighted mean of Kα1 and Kα2).

Largest 12 diffraction maxima, by angle, 10° ≤ 2θ ≤ 80°:
index  Position (°2θ)  d (Å)  I/Imax
0 2 1  16.9  5.247  19.0
0 4 0  30.4  2.944  46.3
0 0 4  30.9  2.890  44.9
0 4 1  31.4  2.853  19.7
1 1 2  31.7  2.820  100.0
1 3 1  36.0  2.492  21.5
1 1 3  36.3  2.476  22.2
1 3 2  38.6  2.335  88.4
0 2 5  42.0  2.152  21.0
0 4 4  43.9  2.063  20.5
1 5 3  53.1  1.725  21.5
1 3 5  53.5  1.714  18.4

Crystal structure
a b c (Å): 3.359 11.777 11.562
angles (deg): 90.00 90.00 90.00
Space group Cmcm (No. 63)
Unique sites:
Nd: 0.000 0.096 0.250 [4 per cell]
Hf: 0.000 0.371 0.039 [8 per cell]
Re: 0.000 0.167 0.750 [4 per cell]
C: 0.000 0.000 0.000 [4 per cell]
C: 0.000 0.261 0.614 [8 per cell]
C: 0.000 0.428 0.250 [4 per cell]

=====

# 4
Diffraction record for YTmAl2Ag5. The PXRD pattern is simulated, not measured: it uses a structure optimized by DFT (PBE) and Cu Kα (weighted mean of Kα1 and Kα2).

Largest 12 diffraction maxima, by angle, 10° ≤ 2θ ≤ 80°:
index  Position (°2θ)  d (Å)  I/Imax
1 0 1  21.9  4.056  11.7
1 0 2  28.1  3.180  6.7
1 1 2  34.4  2.608  100.0
1 0 3  36.2  2.481  7.9
2 0 0  39.5  2.280  41.6
0 0 4  40.7  2.218  11.9
1 1 3  41.4  2.180  7.4
2 2 0  57.1  1.612  13.6
2 0 4  58.0  1.590  16.2
3 1 2  68.4  1.371  25.3
1 1 6  70.0  1.344  8.7
2 2 4  72.5  1.304  8.2

Crystal structure
a b c (Å): 4.560 4.560 8.872
angles (deg): 90.00 90.00 90.00
Space group P4/mmm (No. 123)
Unique sites:
Y: 0.000 0.000 0.000 [1 per cell]
Tm: 0.000 0.000 0.500 [1 per cell]
Al: 0.500 0.500 0.358 [2 per cell]
Ag: 0.000 0.500 0.226 [4 per cell]
Ag: 0.500 0.500 0.000 [1 per cell]

=====

# 5
Diffraction record for MnCdRe2. The PXRD pattern is simulated, not measured: it uses a structure optimized by DFT (PBE) and Cu Kα (weighted mean of Kα1 and Kα2).

Largest 12 diffraction maxima, by angle, 10° ≤ 2θ ≤ 80°:
index  Position (°2θ)  d (Å)  I/Imax
0 0 2  19.5  4.555  17.7
0 0 3  29.4  3.037  13.6
1 1 0  35.6  2.525  10.6
0 0 4  39.6  2.278  20.9
1 1 2  40.9  2.209  100.0
0 2 0  41.0  2.202  27.0
0 2 4  58.3  1.583  13.2
2 0 0  60.0  1.541  8.7
1 1 5  62.9  1.478  12.6
0 0 7  72.7  1.301  11.0
1 3 2  74.6  1.273  16.7
2 2 0  75.3  1.263  8.9

Crystal structure
a b c (Å): 3.082 4.404 9.111
angles (deg): 90.00 90.00 90.00
Space group Cmmm (No. 65)
Unique sites:
Mn: 0.000 0.000 0.000 [2 per cell]
Cd: 0.000 0.000 0.500 [2 per cell]
Re: 0.000 0.500 0.222 [4 per cell]

=====

# 6
Diffraction record for Sm3TmZn4. The PXRD pattern is simulated, not measured: it uses a structure optimized by DFT (PBE) and Cu Kα (weighted mean of Kα1 and Kα2).

Largest 12 diffraction maxima, by angle, 10° ≤ 2θ ≤ 80°:
index  Position (°2θ)  d (Å)  I/Imax
1 0 4  24.7  3.611  32.9
0 1 8  35.1  2.558  100.0
1 1 0  35.2  2.549  99.4
0 2 4  43.5  2.082  7.5
2 0 8  50.6  1.805  35.1
1 1 12  56.9  1.617  7.0
2 1 4  57.1  1.612  7.0
1 0 16  62.9  1.478  17.8
3 0 0  63.1  1.473  53.4
0 2 16  74.1  1.279  10.9
2 2 0  74.5  1.274  10.9
3 0 12  79.7  1.204  2.8

Crystal structure
a b c (Å): 5.0971 5.0971 25.1055
angles (deg): 90.00 90.00 120.00
Space group R-3m (No. 166, hexagonal axes)
Unique sites:
Sm: 0.0000 0.0000 0.0000 [3 per cell]
Sm: 0.0000 0.0000 0.2485 [6 per cell]
Tm: 0.0000 0.0000 0.5000 [3 per cell]
Zn: 0.0000 0.0000 0.1263 [6 per cell]
Zn: 0.0000 0.0000 0.3766 [6 per cell]